Entry 1:
This entry pairs a crystal structure of FeCoGe with its calculated powder X-ray diffraction pattern. Radiation: a wavelength of 1.5418 Å. Structure: a cell relaxed with PBE.
Kinematic intensities with the Lorentz-polarization factor, no thermal factor.

Top 7 peaks for 2θ = 5–70°, by angle:
| 2theta | I/Imax |
| --- | --- |
| 25.26 | 1.0 |
| 30.96 | 1.8 |
| 35.63 | 10.2 |
| 44.18 | 86.3 |
| 44.52 | 100.0 |
| 58.28 | 14.4 |
| 64.52 | 25.8 |

Cell and atoms:
```
FeCoGe
1.0
4.070 0.000 0.000
-2.035 3.525 0.000
0.000 0.000 5.039
Fe Co Ge
2 2 2
direct
0.000 0.000 0.000
0.000 0.000 0.500
0.333 0.667 0.250
0.667 0.333 0.750
0.333 0.667 0.750
0.667 0.333 0.250
```

***

Entry 2:
This entry pairs a crystal structure of K2NaInP2 with its calculated powder X-ray diffraction pattern. Radiation: a wavelength of 1.5418 Å. Structure: a cell relaxed with PBE.
Kinematic intensities with the Lorentz-polarization factor, no thermal factor.

Top 10 peaks for 2θ = 5–70°, by angle:
| 2theta | I/Imax |
| --- | --- |
| 11.77 | 86.2 |
| 14.50 | 90.3 |
| 22.16 | 29.7 |
| 29.23 | 100.0 |
| 30.40 | 62.2 |
| 35.94 | 83.3 |
| 38.06 | 62.0 |
| 54.91 | 19.0 |
| 63.42 | 20.1 |
| 67.34 | 19.8 |

Cell and atoms:
```
K2NaInP2
1.0
-3.341 7.522 3.346
3.341 -7.522 3.346
3.341 7.522 -3.346
K Na In P
4 2 2 4
direct
0.177 0.238 0.416
0.323 0.738 0.061
0.677 0.262 0.939
0.823 0.762 0.584
0.250 0.250 0.000
0.750 0.750 0.000
0.250 0.750 0.500
0.750 0.250 0.500
0.099 0.715 0.814
0.401 0.215 0.616
0.599 0.785 0.384
0.901 0.285 0.186
```

***

Entry 3:
This entry pairs a crystal structure of Sr3YN3 with its calculated powder X-ray diffraction pattern. Radiation: a wavelength of 1.5418 Å. Structure: a cell relaxed with PBE.
Kinematic intensities with the Lorentz-polarization factor, no thermal factor.

Top 10 peaks for 2θ = 5–70°, by angle:
| 2theta | I/Imax |
| --- | --- |
| 24.92 | 41.4 |
| 27.17 | 64.6 |
| 29.96 | 100.0 |
| 33.12 | 79.5 |
| 37.20 | 20.0 |
| 37.76 | 27.0 |
| 45.78 | 30.7 |
| 51.08 | 22.1 |
| 57.64 | 30.0 |
| 58.85 | 23.2 |

Cell and atoms:
```
Sr3YN3
1.0
8.248 0.000 0.000
0.000 5.413 0.000
-4.123 0.000 7.150
Sr Y N
6 2 6
direct
0.077 0.250 0.250
0.250 0.250 0.827
0.327 0.750 0.577
0.673 0.250 0.423
0.750 0.750 0.173
0.923 0.750 0.750
0.333 0.750 0.166
0.667 0.250 0.834
0.097 0.750 0.227
0.273 0.750 0.870
0.371 0.250 0.597
0.629 0.750 0.403
0.727 0.250 0.130
0.903 0.250 0.773
```

***

Entry 4:
This entry pairs a crystal structure of Rb3ZnBr5 with its calculated powder X-ray diffraction pattern. Radiation: a wavelength of 1.5418 Å. Structure: a cell relaxed with PBE.
Kinematic intensities with the Lorentz-polarization factor, no thermal factor.

Top 10 peaks for 2θ = 5–70°, by angle:
| 2theta | I/Imax |
| --- | --- |
| 26.26 | 100.0 |
| 27.35 | 69.2 |
| 27.63 | 75.6 |
| 28.60 | 53.7 |
| 30.79 | 18.3 |
| 30.90 | 19.4 |
| 33.60 | 40.1 |
| 44.02 | 33.8 |
| 50.37 | 17.8 |
| 52.66 | 24.4 |

Cell and atoms:
```
Rb3ZnBr5
1.0
9.279 0.000 0.000
0.000 10.670 0.000
0.000 0.000 13.777
Rb Zn Br
12 4 20
direct
0.088 0.250 0.046
0.089 0.021 0.328
0.089 0.479 0.328
0.411 0.521 0.828
0.411 0.979 0.828
0.412 0.750 0.546
0.588 0.250 0.454
0.589 0.021 0.172
0.589 0.479 0.172
0.911 0.521 0.672
0.911 0.979 0.672
0.912 0.750 0.954
0.190 0.250 0.609
0.310 0.750 0.109
0.690 0.250 0.891
0.810 0.750 0.391
0.034 0.750 0.486
0.135 0.250 0.781
0.161 0.750 0.766
0.186 0.558 0.064
0.186 0.942 0.064
0.314 0.058 0.564
0.314 0.442 0.564
0.339 0.250 0.266
0.365 0.750 0.281
0.466 0.250 0.986
0.534 0.750 0.014
0.635 0.250 0.719
0.661 0.750 0.734
0.686 0.558 0.436
0.686 0.942 0.436
0.814 0.058 0.936
0.814 0.442 0.936
0.839 0.250 0.234
0.865 0.750 0.219
0.966 0.250 0.514
```

***

Entry 5:
This entry pairs a crystal structure of Rh3Cl4 with its calculated powder X-ray diffraction pattern. Radiation: a wavelength of 1.5418 Å. Structure: a cell relaxed with PBE.
Kinematic intensities with the Lorentz-polarization factor, no thermal factor.

Top 10 peaks for 2θ = 5–70°, by angle:
| 2theta | I/Imax |
| --- | --- |
| 19.01 | 40.1 |
| 30.28 | 100.0 |
| 33.25 | 19.4 |
| 43.35 | 9.2 |
| 47.73 | 42.0 |
| 49.81 | 24.4 |
| 51.82 | 10.8 |
| 55.70 | 19.4 |
| 59.40 | 5.3 |
| 64.71 | 21.8 |

Cell and atoms:
```
Rh3Cl4
1.0
6.601 0.000 0.000
0.000 6.601 0.000
0.000 0.000 6.601
Rh Cl
6 8
direct
0.000 0.250 0.500
0.000 0.750 0.500
0.250 0.500 0.000
0.500 0.000 0.250
0.500 0.000 0.750
0.750 0.500 0.000
0.250 0.250 0.250
0.250 0.250 0.750
0.250 0.750 0.250
0.250 0.750 0.750
0.750 0.250 0.250
0.750 0.250 0.750
0.750 0.750 0.250
0.750 0.750 0.750
```

***

Entry 6:
This entry pairs a crystal structure of RbGeO3 with its calculated powder X-ray diffraction pattern. Radiation: a wavelength of 1.5418 Å. Structure: a cell relaxed with PBE.
Kinematic intensities with the Lorentz-polarization factor, no thermal factor.

Top 5 peaks for 2θ = 5–70°, by angle:
| 2theta | I/Imax |
| --- | --- |
| 32.06 | 100.0 |
| 39.53 | 6.2 |
| 45.97 | 36.9 |
| 57.14 | 38.9 |
| 67.04 | 21.8 |

Cell and atoms:
```
RbGeO3
1.0
3.949 0.000 0.000
0.000 3.949 0.000
0.000 0.000 3.949
Rb Ge O
1 1 3
direct
0.000 0.000 0.000
0.500 0.500 0.500
0.000 0.500 0.500
0.500 0.000 0.500
0.500 0.500 0.000
```